(1)
For Sm2Dy12Zr, DFT lattice parameters and positions (PBE) gives the theoretical XRD peak list in this record (Cu Kα X-rays).
Neutral-atom scattering factors, no anomalous dispersion.

Most intense lines, 2θ from 10° to 90°, by angle:
2θ/deg  I/Imax
30.6  28
31.5  24
32.0  49
32.0  100
33.9  35
45.5  17
51.8  14
62.2  15

Structure:
a b c (Å): 6.6090 6.6090 24.2612
angles (deg): 94.41 94.41 115.43
Element x y z (fractional)
Sm (0.0000, 0.0000, 0.0000)
Sm (0.0141, 0.0141, 0.5343)
Sm (0.5025, 0.5025, 0.9986)
Sm (0.5201, 0.5201, 0.5336)
Dy (0.0377, 0.5370, 0.0703)
Dy (0.0514, 0.5454, 0.5940)
Dy (0.1627, 0.6628, 0.3272)
Dy (0.1659, 0.1659, 0.8402)
Dy (0.1673, 0.6573, 0.8220)
Dy (0.1956, 0.1956, 0.3939)
Dy (0.3263, 0.3263, 0.1517)
Dy (0.3493, 0.8493, 0.1983)
Dy (0.3538, 0.3538, 0.6967)
Dy (0.3536, 0.8597, 0.7102)
Dy (0.4684, 0.9720, 0.9387)
Dy (0.4806, 0.9811, 0.4621)
Dy (0.5370, 0.0377, 0.0703)
Dy (0.5454, 0.0514, 0.5940)
Dy (0.6573, 0.1673, 0.8220)
Dy (0.6628, 0.1627, 0.3272)
Dy (0.6780, 0.6780, 0.8448)
Dy (0.6958, 0.6958, 0.3939)
Dy (0.8261, 0.8261, 0.1515)
Dy (0.8433, 0.8433, 0.6889)
Dy (0.8493, 0.3493, 0.1983)
Dy (0.8597, 0.3536, 0.7102)
Dy (0.9720, 0.4684, 0.9387)
Dy (0.9811, 0.4806, 0.4621)
Zr (0.1340, 0.1340, 0.2686)
Zr (0.6342, 0.6342, 0.2687)



(2)
For Dy5Sn13, DFT lattice parameters and positions (PBE) gives the theoretical XRD peak list in this record (Cu Kα X-rays).
Neutral-atom scattering factors, no anomalous dispersion.

Most intense lines, 2θ from 10° to 90°, by angle:
2θ/deg  I/Imax
32.2  76
33.3  41
34.1  100
40.4  33
41.1  31
53.3  22
59.0  25
69.5  34

Structure:
a b c (Å): 24.4185 24.4185 24.4185
angles (deg): 169.67 169.52 14.74
Element x y z (fractional)
Dy (0.0000, 0.0000, 0.0000)
Dy (0.3290, 0.8290, 0.5000)
Dy (0.3964, 0.3964, 0.0000)
Dy (0.6036, 0.6036, 0.0000)
Dy (0.6710, 0.1710, 0.5000)
Sn (0.0533, 0.5533, 0.5000)
Sn (0.1155, 0.1155, 0.0000)
Sn (0.1578, 0.6578, 0.5000)
Sn (0.2196, 0.2196, 0.0000)
Sn (0.2800, 0.2800, 0.0000)
Sn (0.4470, 0.9470, 0.5000)
Sn (0.5000, 0.5000, 0.0000)
Sn (0.5530, 0.0530, 0.5000)
Sn (0.7200, 0.7200, 0.0000)
Sn (0.7804, 0.7804, 0.0000)
Sn (0.8422, 0.3422, 0.5000)
Sn (0.8845, 0.8845, 0.0000)
Sn (0.9467, 0.4467, 0.5000)



(3)
For Dy11Sn10, DFT lattice parameters and positions (PBE) gives the theoretical XRD peak list in this record (Cu Kα X-rays).
Neutral-atom scattering factors, no anomalous dispersion.

Most intense lines, 2θ from 10° to 90°, by angle:
2θ/deg  I/Imax
30.7  34
31.3  89
31.9  100
32.1  52
32.5  54
32.7  74
35.0  65
64.3  36

Structure:
a b c (Å): 11.8543 11.8543 11.8543
angles (deg): 121.22 121.22 87.90
Element x y z (fractional)
Dy (0.0601, 0.3113, 0.7488)
Dy (0.1022, 0.4333, 0.3310)
Dy (0.1022, 0.7712, 0.6690)
Dy (0.1660, 0.1660, 0.0000)
Dy (0.2288, 0.8978, 0.3310)
Dy (0.3113, 0.0601, 0.7488)
Dy (0.3113, 0.5626, 0.2512)
Dy (0.3264, 0.3264, 0.6529)
Dy (0.3264, 0.6736, 0.0000)
Dy (0.4333, 0.1022, 0.3310)
Dy (0.4374, 0.6887, 0.7488)
Dy (0.5626, 0.3113, 0.2512)
Dy (0.5667, 0.8978, 0.6690)
Dy (0.6736, 0.3264, 0.0000)
Dy (0.6736, 0.6736, 0.3471)
Dy (0.6887, 0.4374, 0.7488)
Dy (0.6887, 0.9399, 0.2512)
Dy (0.7712, 0.1022, 0.6690)
Dy (0.8340, 0.8340, 0.0000)
Dy (0.8978, 0.2288, 0.3310)
Dy (0.8978, 0.5667, 0.6690)
Dy (0.9399, 0.6887, 0.2512)
Sn (0.0298, 0.0298, 0.4116)
Sn (0.0298, 0.6182, 0.0000)
Sn (0.1294, 0.1294, 0.2589)
Sn (0.1294, 0.8706, 0.0000)
Sn (0.1442, 0.5000, 0.6442)
Sn (0.2500, 0.7500, 0.5000)
Sn (0.3818, 0.3818, 0.4116)
Sn (0.3818, 0.9702, 0.0000)
Sn (0.3880, 0.3880, 0.0000)
Sn (0.5000, 0.1442, 0.6442)
Sn (0.5000, 0.8558, 0.3558)
Sn (0.6120, 0.6120, 0.0000)
Sn (0.6182, 0.0298, 0.0000)
Sn (0.6182, 0.6182, 0.5884)
Sn (0.7500, 0.2500, 0.5000)
Sn (0.8558, 0.5000, 0.3558)
Sn (0.8706, 0.1294, 0.0000)
Sn (0.8706, 0.8706, 0.7411)
Sn (0.9702, 0.3818, 0.0000)
Sn (0.9702, 0.9702, 0.5884)



(4)
For DySn5, DFT lattice parameters and positions (PBE) gives the theoretical XRD peak list in this record (Cu Kα X-rays).
Neutral-atom scattering factors, no anomalous dispersion.

Most intense lines, 2θ from 10° to 90°, by angle:
2θ/deg  I/Imax
32.0  100
34.0  88
36.3  70
42.0  25
49.5  13
56.7  40
61.4  27
65.0  25

Structure:
a b c (Å): 4.2988 11.0445 6.6889
angles (deg): 90.00 90.00 90.00
Element x y z (fractional)
Dy (0.2500, 0.2500, 0.1032)
Dy (0.7500, 0.7500, 0.8968)
Sn (0.2500, 0.2500, 0.6184)
Sn (0.2500, 0.5688, 0.1354)
Sn (0.2500, 0.5983, 0.6212)
Sn (0.2500, 0.9017, 0.6212)
Sn (0.2500, 0.9312, 0.1354)
Sn (0.7500, 0.0688, 0.8646)
Sn (0.7500, 0.0983, 0.3788)
Sn (0.7500, 0.4017, 0.3788)
Sn (0.7500, 0.4312, 0.8646)
Sn (0.7500, 0.7500, 0.3816)



(5)
For TbDy2Sn, DFT lattice parameters and positions (PBE) gives the theoretical XRD peak list in this record (Cu Kα X-rays).
Neutral-atom scattering factors, no anomalous dispersion.

Most intense lines, 2θ from 10° to 90°, by angle:
2θ/deg  I/Imax
31.6  100
35.7  38
38.6  13
51.3  14
53.6  20
61.6  30
65.5  9
66.0  11

Structure:
a b c (Å): 3.5594 3.5594 9.3344
angles (deg): 90.00 90.00 90.00
Element x y z (fractional)
Tb (0.0000, 0.0000, 0.0000)
Dy (0.5000, 0.5000, 0.2726)
Dy (0.5000, 0.5000, 0.7274)
Sn (0.0000, 0.0000, 0.5000)



(6)
For TbDy5Sn4, DFT lattice parameters and positions (PBE) gives the theoretical XRD peak list in this record (Cu Kα X-rays).
Neutral-atom scattering factors, no anomalous dispersion.

Most intense lines, 2θ from 10° to 90°, by angle:
2θ/deg  I/Imax
25.4  24
29.1  26
30.1  100
30.6  36
31.7  40
36.5  43
37.0  48
40.9  40

Structure:
a b c (Å): 9.1700 9.1700 8.0145
angles (deg): 101.32 101.32 27.83
Element x y z (fractional)
Tb (0.0000, 0.0000, 0.0000)
Dy (0.0000, 0.0000, 0.5000)
Dy (0.2951, 0.2951, 0.6931)
Dy (0.3602, 0.3602, 0.2752)
Dy (0.6398, 0.6398, 0.7248)
Dy (0.7049, 0.7049, 0.3069)
Sn (0.1886, 0.1886, 0.0120)
Sn (0.4652, 0.4652, 0.7262)
Sn (0.5348, 0.5348, 0.2738)
Sn (0.8114, 0.8114, 0.9880)



(7)
For DyTcSn, DFT lattice parameters and positions (PBE) gives the theoretical XRD peak list in this record (Cu Kα X-rays).
Neutral-atom scattering factors, no anomalous dispersion.

Most intense lines, 2θ from 10° to 90°, by angle:
2θ/deg  I/Imax
24.8  40
32.3  100
34.4  83
43.4  73
55.2  22
56.5  20
64.4  35
72.7  19

Structure:
a b c (Å): 10.3374 10.3374 10.3374
angles (deg): 23.27 23.27 23.27
Element x y z (fractional)
Dy (0.0683, 0.0683, 0.0683)
Dy (0.9317, 0.9317, 0.9317)
Tc (0.3393, 0.3393, 0.3393)
Tc (0.6607, 0.6607, 0.6607)
Sn (0.1922, 0.1922, 0.1922)
Sn (0.8078, 0.8078, 0.8078)



(8)
For Dy6TcSn2, DFT lattice parameters and positions (PBE) gives the theoretical XRD peak list in this record (Cu Kα X-rays).
Neutral-atom scattering factors, no anomalous dispersion.

Most intense lines, 2θ from 10° to 90°, by angle:
2θ/deg  I/Imax
30.1  100
32.7  76
33.9  59
38.6  27
39.8  32
41.2  27
54.3  31
61.5  28

Structure:
a b c (Å): 8.0816 8.0816 4.3868
angles (deg): 90.00 90.00 120.00
Element x y z (fractional)
Dy (0.0000, 0.2401, 0.0000)
Dy (0.0000, 0.5969, 0.5000)
Dy (0.2401, 0.0000, 0.0000)
Dy (0.4031, 0.4031, 0.5000)
Dy (0.5969, 0.0000, 0.5000)
Dy (0.7599, 0.7599, 0.0000)
Tc (0.0000, 0.0000, 0.5000)
Sn (0.3333, 0.6667, 0.0000)
Sn (0.6667, 0.3333, 0.0000)



(9)
For Dy3SnTe, DFT lattice parameters and positions (PBE) gives the theoretical XRD peak list in this record (Cu Kα X-rays).
Neutral-atom scattering factors, no anomalous dispersion.

Most intense lines, 2θ from 10° to 90°, by angle:
2θ/deg  I/Imax
20.8  61
26.9  49
30.7  66
32.0  66
33.3  61
37.3  100
41.2  57
58.5  44

Structure:
a b c (Å): 9.3668 9.3668 8.7417
angles (deg): 92.20 92.20 27.06
Element x y z (fractional)
Dy (0.0845, 0.0845, 0.3623)
Dy (0.1778, 0.1778, 0.9953)
Dy (0.2989, 0.2989, 0.3644)
Dy (0.7011, 0.7011, 0.6356)
Dy (0.8222, 0.8222, 0.0047)
Dy (0.9155, 0.9155, 0.6377)
Sn (0.3149, 0.3149, 0.7475)
Sn (0.6851, 0.6851, 0.2525)
Te (0.0795, 0.0795, 0.7061)
Te (0.9205, 0.9205, 0.2939)



(10)
For DySn3Te6, DFT lattice parameters and positions (PBE) gives the theoretical XRD peak list in this record (Cu Kα X-rays).
Neutral-atom scattering factors, no anomalous dispersion.

Most intense lines, 2θ from 10° to 90°, by angle:
2θ/deg  I/Imax
27.7  30
28.2  100
28.3  42
30.5  56
36.5  38
39.7  42
41.1  29
42.0  46

Structure:
a b c (Å): 12.7490 4.2979 13.0007
angles (deg): 90.00 112.48 90.00
Element x y z (fractional)
Dy (0.2056, 0.2500, 0.0497)
Dy (0.7944, 0.7500, 0.9503)
Sn (0.0484, 0.7500, 0.2939)
Sn (0.3443, 0.2500, 0.4572)
Sn (0.3858, 0.7500, 0.8367)
Sn (0.6142, 0.2500, 0.1633)
Sn (0.6557, 0.7500, 0.5428)
Sn (0.9516, 0.2500, 0.7061)
Te (0.0249, 0.7500, 0.9038)
Te (0.1120, 0.2500, 0.4675)
Te (0.2147, 0.2500, 0.8032)
Te (0.2551, 0.7500, 0.2425)
Te (0.3998, 0.7500, 0.0717)
Te (0.4451, 0.7500, 0.6268)
Te (0.5549, 0.2500, 0.3732)
Te (0.6002, 0.2500, 0.9283)
Te (0.7449, 0.2500, 0.7575)
Te (0.7853, 0.7500, 0.1968)
Te (0.8880, 0.7500, 0.5325)
Te (0.9751, 0.2500, 0.0962)



(11)
For DySn2Te4, DFT lattice parameters and positions (PBE) gives the theoretical XRD peak list in this record (Cu Kα X-rays).
Neutral-atom scattering factors, no anomalous dispersion.

Most intense lines, 2θ from 10° to 90°, by angle:
2θ/deg  I/Imax
21.9  30
27.3  67
28.3  100
30.3  71
37.7  61
39.2  35
41.4  33
42.0  35

Structure:
a b c (Å): 7.6262 7.6262 14.6330
angles (deg): 90.00 90.00 147.21
Element x y z (fractional)
Dy (0.1073, 0.8927, 0.7500)
Dy (0.8927, 0.1073, 0.2500)
Sn (0.3647, 0.6353, 0.5631)
Sn (0.3647, 0.6353, 0.9369)
Sn (0.6353, 0.3647, 0.0631)
Sn (0.6353, 0.3647, 0.4369)
Te (0.0000, 0.0000, 0.0000)
Te (0.0000, 0.0000, 0.5000)
Te (0.2843, 0.7157, 0.1315)
Te (0.2843, 0.7157, 0.3685)
Te (0.4578, 0.5422, 0.7500)
Te (0.5422, 0.4578, 0.2500)
Te (0.7157, 0.2843, 0.6315)
Te (0.7157, 0.2843, 0.8685)



(12)
For Dy4SnTe2, DFT lattice parameters and positions (PBE) gives the theoretical XRD peak list in this record (Cu Kα X-rays).
Neutral-atom scattering factors, no anomalous dispersion.

Most intense lines, 2θ from 10° to 90°, by angle:
2θ/deg  I/Imax
26.3  82
29.6  45
30.2  100
35.1  63
35.3  28
37.6  46
40.5  29
44.6  37

Structure:
a b c (Å): 9.5735 8.2293 8.2192
angles (deg): 71.19 54.46 54.36
Element x y z (fractional)
Dy (0.1205, 0.3187, 0.3195)
Dy (0.2587, 0.6805, 0.6813)
Dy (0.3187, 0.1205, 0.7413)
Dy (0.3195, 0.7413, 0.1205)
Dy (0.6805, 0.2587, 0.8795)
Dy (0.6813, 0.8795, 0.2587)
Dy (0.7413, 0.3195, 0.3187)
Dy (0.8795, 0.6813, 0.6805)
Sn (0.3750, 0.3750, 0.3750)
Sn (0.6250, 0.6250, 0.6250)
Te (0.0000, 0.0000, 0.0000)
Te (0.0000, 0.0000, 0.5000)
Te (0.0000, 0.5000, 0.0000)
Te (0.5000, 0.0000, 0.0000)